This entry pairs a crystal structure of ErTmSe2O8 with its computed PXRD pattern. Radiation: copper Kα. Structure: DFT lattice parameters and positions (GGA-PBE).
Neutral-atom scattering factors, no anomalous dispersion.

Structure:
Unit cell a=6.689 b=6.689 c=6.689 alpha=134.89 beta=134.89 gamma=65.71
Atoms (fractional coordinates):
Er  0.000  0.000  0.000
Tm  0.750  0.250  0.500
Se  0.250  0.750  0.500
Se  0.500  0.500  0.000
O  0.050  0.667  0.047
O  0.189  0.263  0.609
O  0.333  0.380  0.382
O  0.420  0.811  0.075
O  0.620  0.003  0.953
O  0.654  0.580  0.391
O  0.737  0.346  0.925
O  0.997  0.950  0.618

Principal peaks in the range 2θ from 10° to 90°, by angle:
2θ (°), d [Å], I (rel.)
19.0, 4.668, 15
29.3, 3.048, 100
31.9, 2.809, 15
35.0, 2.566, 21
48.0, 1.895, 30
50.3, 1.814, 14
55.2, 1.664, 17
59.3, 1.559, 28
60.8, 1.524, 12
77.9, 1.226, 12